1.
CoTe: theoretical XRD peak list (Cu Kα (weighted mean of Kα1 and Kα2)), based on DFT lattice parameters and positions (GGA-PBE).
Lines closer than 0.1° are merged.

Peak list (8 most intense, 2θ from 5° to 70°, sorted by position)
| hkl | d [Å] | 2theta | I_rel |
| --- | --- | --- | --- |
| 1 0 1 | 2.845 | 31.4 | 100 |
| 0 0 2 | 2.645 | 33.9 | 4 |
| 1 0 2 | 2.082 | 43.5 | 54 |
| 1 1 0 | 1.949 | 46.6 | 49 |
| 2 0 1 | 1.608 | 57.3 | 18 |
| 1 1 2 | 1.569 | 58.9 | 6 |
| 1 0 3 | 1.563 | 59.1 | 16 |
| 2 0 2 | 1.423 | 65.6 | 15 |

```
data_CoTe
_space_group_name_H-M_alt 'P 63/m m c'
_space_group_IT_number 194
_space_group_name_Hall '-P 6c 2c'
_cell_length_a 3.8976
_cell_length_b 3.8976
_cell_length_c 5.2897
_cell_angle_alpha 90.00
_cell_angle_beta 90.00
_cell_angle_gamma 120.00
loop_
_atom_site_label
_atom_site_type_symbol
_atom_site_fract_x
_atom_site_fract_y
_atom_site_fract_z
Co1 Co 0.0000 0.0000 0.0000
Te1 Te 0.3333 0.6667 0.2500
```

---

2.
CoNi3H6: theoretical XRD peak list (Cu Kα (weighted mean of Kα1 and Kα2)), based on DFT lattice parameters and positions (GGA-PBE).
Lines closer than 0.1° are merged.

Peak list (2 most intense, 2θ from 5° to 70°, sorted by position)
| hkl | d [Å] | 2theta | I_rel |
| --- | --- | --- | --- |
| 2 2 0 | 2.214 | 40.8 | 100 |
| 4 0 0 | 1.565 | 59.0 | 16 |

```
data_CoNi3H6
_space_group_name_H-M_alt 'F m -3 m'
_space_group_IT_number 225
_space_group_name_Hall '-F 4 2 3'
_cell_length_a 6.262
_cell_length_b 6.262
_cell_length_c 6.262
_cell_angle_alpha 90.00
_cell_angle_beta 90.00
_cell_angle_gamma 90.00
loop_
_atom_site_label
_atom_site_type_symbol
_atom_site_fract_x
_atom_site_fract_y
_atom_site_fract_z
Co1 Co 0.000 0.000 0.000
Ni1 Ni 0.000 0.000 0.500
Ni2 Ni 0.250 0.250 0.250
H1 H 0.000 0.000 0.248
```

---

3.
Mg3ZrPt2: theoretical XRD peak list (Cu Kα (weighted mean of Kα1 and Kα2)), based on DFT lattice parameters and positions (GGA-PBE).
Lines closer than 0.1° are merged.

Peak list (10 most intense, 2θ from 5° to 70°, sorted by position)
| hkl | d [Å] | 2theta | I_rel |
| --- | --- | --- | --- |
| 0 0 2 | 4.589 | 19.3 | 100 |
| 0 2 0 | 4.514 | 19.7 | 52 |
| 0 2 2 | 3.218 | 27.7 | 49 |
| 2 0 2 | 2.386 | 37.7 | 35 |
| 2 2 0 | 2.375 | 37.9 | 54 |
| 0 4 0 | 2.257 | 39.9 | 24 |
| 2 2 2 | 2.109 | 42.9 | 76 |
| 0 2 4 | 2.045 | 44.3 | 35 |
| 0 4 2 | 2.025 | 44.7 | 33 |
| 2 4 4 | 1.394 | 67.1 | 20 |

```
data_Mg3ZrPt2
_space_group_name_H-M_alt 'F m m 2'
_space_group_IT_number 42
_space_group_name_Hall 'F 2 -2'
_cell_length_a 5.587
_cell_length_b 9.029
_cell_length_c 9.178
_cell_angle_alpha 90.00
_cell_angle_beta 90.00
_cell_angle_gamma 90.00
loop_
_atom_site_label
_atom_site_type_symbol
_atom_site_fract_x
_atom_site_fract_y
_atom_site_fract_z
Mg1 Mg 0.000 0.000 0.000
Mg2 Mg 0.000 0.171 0.672
Zr1 Zr 0.000 0.000 0.337
Pt1 Pt 0.250 0.250 0.423
```

---

4.
Y2TmAl3FeCu2: theoretical XRD peak list (Cu Kα (weighted mean of Kα1 and Kα2)), based on DFT lattice parameters and positions (GGA-PBE).
Lines closer than 0.1° are merged.

Peak list (10 most intense, 2θ from 5° to 70°, sorted by position)
| hkl | d [Å] | 2theta | I_rel |
| --- | --- | --- | --- |
| 0 1 1 | 6.201 | 14.3 | 32 |
| 0 0 2 | 3.580 | 24.9 | 31 |
| 0 4 0 | 3.100 | 28.8 | 27 |
| 1 3 1 | 2.611 | 34.3 | 96 |
| 1 4 0 | 2.406 | 37.4 | 100 |
| 0 1 3 | 2.344 | 38.4 | 35 |
| 0 6 0 | 2.067 | 43.8 | 24 |
| 1 4 2 | 1.997 | 45.4 | 23 |
| 0 7 1 | 1.720 | 53.3 | 22 |
| 1 5 3 | 1.568 | 58.9 | 29 |

```
data_Y2TmAl3FeCu2
_space_group_name_H-M_alt 'A m m 2'
_space_group_IT_number 38
_cell_length_a 3.817
_cell_length_b 12.399
_cell_length_c 7.160
_cell_angle_alpha 90.00
_cell_angle_beta 90.00
_cell_angle_gamma 90.00
loop_
_space_group_symop_operation_xyz
'x,y,z'
'-x,-y,z'
'-x,y,z'
'x,-y,z'
'x,y+1/2,z+1/2'
'-x,-y+1/2,z+1/2'
'-x,y+1/2,z+1/2'
'x,-y+1/2,z+1/2'
loop_
_atom_site_label
_atom_site_type_symbol
_atom_site_fract_x
_atom_site_fract_y
_atom_site_fract_z
Y1 Y 0.000 0.208 0.000
Tm1 Tm 0.000 0.000 0.377
Al1 Al 0.500 0.000 0.029
Al2 Al 0.500 0.119 0.671
Fe1 Fe 0.000 0.000 0.787
Cu1 Cu 0.500 0.164 0.292
```

---

5.
LuAsPd2: theoretical XRD peak list (Cu Kα (weighted mean of Kα1 and Kα2)), based on DFT lattice parameters and positions (GGA-PBE).
Lines closer than 0.1° are merged.

Peak list (8 most intense, 2θ from 5° to 70°, sorted by position)
| hkl | d [Å] | 2theta | I_rel |
| --- | --- | --- | --- |
| 1 1 1 | 3.797 | 23.4 | 6 |
| 2 0 0 | 3.289 | 27.1 | 5 |
| 2 2 0 | 2.325 | 38.7 | 100 |
| 3 1 1 | 1.983 | 45.8 | 3 |
| 2 2 2 | 1.899 | 47.9 | 2 |
| 4 0 0 | 1.644 | 55.9 | 17 |
| 3 3 1 | 1.509 | 61.4 | 1 |
| 4 2 0 | 1.471 | 63.2 | 2 |

```
data_LuAsPd2
_space_group_name_H-M_alt 'F -4 3 m'
_space_group_IT_number 216
_space_group_name_Hall 'F -4 2 3'
_cell_length_a 6.577
_cell_length_b 6.577
_cell_length_c 6.577
_cell_angle_alpha 90.00
_cell_angle_beta 90.00
_cell_angle_gamma 90.00
loop_
_atom_site_label
_atom_site_type_symbol
_atom_site_fract_x
_atom_site_fract_y
_atom_site_fract_z
Lu1 Lu 0.000 0.000 0.000
As1 As 0.250 0.250 0.750
Pd1 Pd 0.000 0.000 0.500
Pd2 Pd 0.250 0.250 0.250
```

---

6.
Dy2NiAg: theoretical XRD peak list (Cu Kα (weighted mean of Kα1 and Kα2)), based on DFT lattice parameters and positions (GGA-PBE).
Lines closer than 0.1° are merged.

Peak list (10 most intense, 2θ from 5° to 70°, sorted by position)
| hkl | d [Å] | 2theta | I_rel |
| --- | --- | --- | --- |
| 1 1 1 | 3.149 | 28.3 | 70 |
| 1 0 2 | 2.784 | 32.2 | 90 |
| 0 2 1 | 2.593 | 34.6 | 73 |
| 1 1 2 | 2.491 | 36.1 | 100 |
| 2 0 0 | 2.269 | 39.7 | 60 |
| 1 2 1 | 2.251 | 40.1 | 84 |
| 0 1 3 | 2.165 | 41.7 | 36 |
| 2 2 1 | 1.707 | 53.7 | 42 |
| 2 1 3 | 1.566 | 59.0 | 25 |
| 2 1 4 | 1.350 | 69.7 | 35 |

```
data_Dy2NiAg
_space_group_name_H-M_alt 'P m c 21'
_space_group_IT_number 26
_cell_length_a 4.538
_cell_length_b 5.576
_cell_length_c 7.049
_cell_angle_alpha 90.00
_cell_angle_beta 90.00
_cell_angle_gamma 90.00
loop_
_space_group_symop_operation_xyz
'x,y,z'
'-x,-y,z+1/2'
'-x,y,z'
'x,-y,z+1/2'
loop_
_atom_site_label
_atom_site_type_symbol
_atom_site_fract_x
_atom_site_fract_y
_atom_site_fract_z
Dy1 Dy 0.000 0.099 0.000
Dy2 Dy 0.500 0.368 0.636
Ni1 Ni 0.500 0.113 0.278
Ag1 Ag 0.000 0.395 0.349
```